[1]
Diffraction record for HfZr2UC4. The powder X-ray diffraction pattern is simulated, not measured: it uses a DFT-relaxed cell (GGA-PBE, Alexandria) and a wavelength of 1.5418 Å.
Kinematic intensities with the Lorentz-polarization factor, no thermal factor.

Most intense lines, 10° ≤ 2θ ≤ 90°, in order of rising 2θ:
2θ 32.3, I 33; 2θ 32.6, I 100; 2θ 33.6, I 10; 2θ 37.8, I 89; 2θ 54.2, I 30; 2θ 54.7, I 30; 2θ 64.6, I 14; 2θ 64.9, I 28; 2θ 65.1, I 14; 2θ 68.4, I 15

Crystal structure
```
HfZr2UC4
1.0
1.679 0.969 11.087
-1.679 0.969 11.087
0.000 -1.939 11.087
Hf Zr U C
1 2 1 4
Direct
0.000 0.000 0.000
0.254 0.254 0.254
0.507 0.507 0.507
0.753 0.753 0.753
0.130 0.130 0.130
0.376 0.376 0.376
0.629 0.629 0.629
0.880 0.880 0.880
```

---

[2]
Diffraction record for AcCe2Ge2Ir2. The powder X-ray diffraction pattern is simulated, not measured: it uses a DFT-relaxed cell (GGA-PBE, Alexandria) and a wavelength of 1.5418 Å.
Kinematic intensities with the Lorentz-polarization factor, no thermal factor.

Most intense lines, 10° ≤ 2θ ≤ 90°, in order of rising 2θ:
2θ 23.9, I 16; 2θ 28.3, I 20; 2θ 32.7, I 100; 2θ 40.3, I 70; 2θ 50.9, I 9; 2θ 52.9, I 43; 2θ 58.1, I 11; 2θ 68.5, I 32; 2θ 73.2, I 12; 2θ 82.6, I 10

Crystal structure
```
AcCe2Ge2Ir2
1.0
2.238 1.292 9.020
-2.238 1.292 9.020
0.000 -2.585 9.020
Ac Ce Ge Ir
1 2 2 2
Direct
0.000 0.000 0.000
0.140 0.140 0.140
0.860 0.860 0.860
0.258 0.258 0.258
0.742 0.742 0.742
0.428 0.428 0.428
0.572 0.572 0.572
```

---

[3]
Diffraction record for K2Li2PdO4. The powder X-ray diffraction pattern is simulated, not measured: it uses a DFT-relaxed cell (GGA-PBE, Alexandria) and a wavelength of 1.5418 Å.
Kinematic intensities with the Lorentz-polarization factor, no thermal factor.

Most intense lines, 10° ≤ 2θ ≤ 90°, in order of rising 2θ:
2θ 15.4, I 53; 2θ 15.7, I 98; 2θ 18.1, I 68; 2θ 25.5, I 47; 2θ 28.2, I 91; 2θ 30.3, I 49; 2θ 36.2, I 51; 2θ 39.9, I 44; 2θ 40.4, I 100; 2θ 42.7, I 66

Crystal structure
```
K2Li2PdO4
1.0
5.982 -1.649 0.000
5.982 1.649 0.000
-1.978 0.000 5.741
K Li Pd O
2 2 1 4
Direct
0.138 0.138 0.051
0.862 0.862 0.949
0.322 0.322 0.500
0.678 0.678 0.500
0.000 0.000 0.500
0.187 0.187 0.649
0.485 0.485 0.705
0.515 0.515 0.295
0.813 0.813 0.351
```

---

[4]
Diffraction record for PaCd2TcO8. The powder X-ray diffraction pattern is simulated, not measured: it uses a DFT-relaxed cell (GGA-PBE, Alexandria) and a wavelength of 1.5418 Å.
Kinematic intensities with the Lorentz-polarization factor, no thermal factor.

Most intense lines, 10° ≤ 2θ ≤ 90°, in order of rising 2θ:
2θ 17.5, I 11; 2θ 22.1, I 14; 2θ 24.3, I 67; 2θ 25.5, I 55; 2θ 32.3, I 100; 2θ 35.5, I 30; 2θ 48.1, I 45; 2θ 49.3, I 36; 2θ 58.5, I 12; 2θ 61.7, I 23

Crystal structure
```
PaCd2TcO8
1.0
3.500 -3.660 0.000
3.500 3.660 0.000
0.000 0.000 6.640
Pa Cd Tc O
1 2 1 8
Direct
0.000 0.000 0.000
0.500 0.500 0.259
0.500 0.500 0.741
0.000 0.000 0.500
0.175 0.825 0.282
0.175 0.825 0.718
0.267 0.267 0.500
0.290 0.290 0.000
0.710 0.710 0.000
0.733 0.733 0.500
0.825 0.175 0.282
0.825 0.175 0.718
```